# 1
Starting from the GGA-PBE geometry in the Materials Project, the powder XRD pattern of SiC2 was computed for Cu Kα, 1.54184 Å.
Kinematic intensities with the Lorentz-polarization factor, no thermal factor.

Cell and atoms:
```
6
Lattice="3.1858 0.0000 0.0000 0.0000 3.1858 0.0000 0.0000 0.0000 6.8803" Properties=species:S:1:pos:R:3 pbc="T T T"
Si 0.0000 0.0000 1.7201
Si 0.0000 0.0000 5.1602
C 0.0000 1.5929 0.6825
C 0.0000 1.5929 6.1977
C 1.5929 0.0000 2.7576
C 1.5929 0.0000 4.1227
```

Principal peaks in the range 2θ from 10° to 90°, in order of rising 2θ:
2θ 25.9, d = 3.440 Å, rel. 34; 2θ 28.0, d = 3.186 Å, rel. 100; 2θ 30.9, d = 2.891 Å, rel. 59; 2θ 38.5, d = 2.337 Å, rel. 79; 2θ 48.3, d = 1.885 Å, rel. 58; 2θ 57.9, d = 1.593 Å, rel. 29

---

# 2
Starting from the GGA-PBE geometry in the Materials Project, the powder XRD pattern of Si8C3 was computed for Cu Kα, 1.54184 Å.
Kinematic intensities with the Lorentz-polarization factor, no thermal factor.

Cell and atoms:
```
44
Lattice="5.1732 0.0000 0.0000 0.3532 11.5871 0.0000 0.6482 4.4597 11.2683" Properties=species:S:1:pos:R:3 pbc="T T T"
Si 0.2585 2.4422 2.5291
Si 0.7031 5.0557 10.2132
Si 0.6021 5.9909 4.5560
Si 1.3742 11.9902 10.3758
Si 1.0918 3.6197 6.8850
Si 1.4063 7.8444 7.1798
Si 1.1878 6.7436 1.5240
Si 1.6366 12.0057 6.0247
Si 1.4272 8.8139 2.7090
Si 2.2173 8.8454 10.2611
Si 2.3289 11.6012 2.7293
Si 2.6300 6.5197 10.6704
Si 2.6582 7.3101 4.0688
Si 2.8370 5.0977 6.4581
Si 2.6228 4.6324 1.9884
Si 2.6925 2.3985 2.8044
Si 3.4820 13.6483 8.4639
Si 3.5517 11.4145 9.2799
Si 3.3376 10.9491 4.8102
Si 3.5163 8.7367 7.1995
Si 3.5445 9.5272 0.5979
Si 3.8456 4.4457 8.5390
Si 3.9572 7.2015 1.0073
Si 4.7474 7.2329 8.5593
Si 4.5379 4.0412 5.2436
Si 4.9867 9.3032 9.7443
Si 4.7682 8.2024 4.0885
Si 5.0827 12.4271 4.3833
Si 4.8004 4.0567 0.8925
Si 5.5724 10.0559 6.7123
Si 5.4715 10.9911 1.0551
Si 5.9160 13.6046 8.7392
C 0.5188 12.1419 2.5783
C 1.3095 5.0011 0.7311
C 1.9635 13.4067 7.2567
C 1.9418 6.6710 5.7862
C 1.8679 5.8804 3.1719
C 2.0044 10.1611 1.5077
C 4.1702 5.8857 9.7606
C 4.3066 10.1665 8.0964
C 4.2328 9.3758 5.4821
C 4.2110 2.6401 4.0116
C 4.8651 11.0457 10.5372
C 5.6557 3.9049 8.6900
```

Principal peaks in the range 2θ from 10° to 90°, in order of rising 2θ:
2θ 23.4, d = 3.808 Å, rel. 100; 2θ 23.7, d = 3.751 Å, rel. 42; 2θ 28.8, d = 3.105 Å, rel. 47; 2θ 29.7, d = 3.010 Å, rel. 40; 2θ 33.2, d = 2.697 Å, rel. 59; 2θ 37.6, d = 2.390 Å, rel. 49

---

# 3
Starting from the GGA-PBE geometry in the Materials Project, the powder XRD pattern of SiC2 was computed for Cu Kα, 1.54184 Å.
Kinematic intensities with the Lorentz-polarization factor, no thermal factor.

Cell and atoms:
```
12
Lattice="4.7862 0.0000 0.0000 0.0000 4.7862 0.0000 0.0000 0.0000 4.7862" Properties=species:S:1:pos:R:3 pbc="T T T"
Si 0.0000 0.0000 0.0000
Si 0.0000 2.3931 2.3931
Si 2.3931 0.0000 2.3931
Si 2.3931 2.3931 0.0000
C 0.3935 2.7866 4.3927
C 0.3935 4.3927 1.9996
C 1.9996 0.3935 4.3927
C 1.9996 1.9996 1.9996
C 2.7866 2.7866 2.7866
C 2.7866 4.3927 0.3935
C 4.3927 0.3935 2.7866
C 4.3927 1.9996 0.3935
```

Principal peaks in the range 2θ from 10° to 90°, in order of rising 2θ:
2θ 32.4, d = 2.763 Å, rel. 27; 2θ 37.6, d = 2.393 Å, rel. 100; 2θ 54.2, d = 1.692 Å, rel. 47; 2θ 64.6, d = 1.443 Å, rel. 41; 2θ 67.8, d = 1.382 Å, rel. 14; 2θ 89.2, d = 1.098 Å, rel. 18

---

# 4
Starting from the GGA-PBE geometry in the Materials Project, the powder XRD pattern of Sm5Si3C was computed for Cu Kα, 1.54184 Å.
Kinematic intensities with the Lorentz-polarization factor, no thermal factor.

Cell and atoms:
```
18
Lattice="8.6584 0.0000 0.0000 -4.3292 7.4984 0.0000 0.0000 0.0000 6.6005" Properties=species:S:1:pos:R:3 pbc="T T T"
Sm -0.9722 1.6838 1.6501
Sm -3.3570 5.8146 4.9504
Sm 1.9443 0.0000 1.6501
Sm 0.9722 1.6838 4.9504
Sm 0.0000 4.9989 0.0000
Sm 0.0000 4.9989 3.3003
Sm 4.3292 2.4995 0.0000
Sm 4.3292 2.4995 3.3003
Sm 6.7141 0.0000 4.9504
Sm 3.3570 5.8146 1.6501
Si -1.7647 3.0566 4.9504
Si -2.5645 4.4418 1.6501
Si 3.5294 0.0000 4.9504
Si 1.7647 3.0566 1.6501
Si 5.1289 0.0000 1.6501
Si 2.5645 4.4418 4.9504
C 0.0000 0.0000 0.0000
C 0.0000 0.0000 3.3003
```

Principal peaks in the range 2θ from 10° to 90°, in order of rising 2θ:
2θ 24.6, d = 3.620 Å, rel. 31; 2θ 29.6, d = 3.021 Å, rel. 56; 2θ 31.6, d = 2.834 Å, rel. 52; 2θ 34.2, d = 2.625 Å, rel. 74; 2θ 34.4, d = 2.604 Å, rel. 100; 2θ 52.7, d = 1.738 Å, rel. 30

---

# 5
Starting from the GGA-PBE geometry in the Materials Project, the powder XRD pattern of Tb3Si2C2 was computed for Cu Kα, 1.54184 Å.
Kinematic intensities with the Lorentz-polarization factor, no thermal factor.

Cell and atoms:
```
7
Lattice="2.0460 -7.2657 0.0000 2.0460 7.2657 0.0000 0.0000 0.0000 4.6767" Properties=species:S:1:pos:R:3 pbc="T T T"
Tb 0.0000 0.0000 0.0000
Tb 2.0460 2.0343 2.3712
Tb 2.0460 -2.0343 2.3712
Si 2.0460 4.3450 0.0528
Si 2.0460 -4.3450 0.0528
C 0.6509 0.0000 2.3355
C 3.4411 0.0000 2.3355
```

Principal peaks in the range 2θ from 10° to 90°, in order of rising 2θ:
2θ 28.6, d = 3.126 Å, rel. 66; 2θ 29.7, d = 3.013 Å, rel. 100; 2θ 31.2, d = 2.869 Å, rel. 66; 2θ 38.5, d = 2.338 Å, rel. 28; 2θ 48.6, d = 1.872 Å, rel. 32; 2θ 55.2, d = 1.665 Å, rel. 44

---

# 6
Starting from the GGA-PBE geometry in the Materials Project, the powder XRD pattern of Ti5Si3C was computed for Cu Kα, 1.54184 Å.
Kinematic intensities with the Lorentz-polarization factor, no thermal factor.

Cell and atoms:
```
18
Lattice="7.4731 0.0000 0.0000 -3.7366 6.4719 0.0000 0.0000 0.0000 5.1694" Properties=species:S:1:pos:R:3 pbc="T T T"
Ti -0.8659 1.4998 1.2923
Ti -2.8707 4.9722 3.8770
Ti 1.7318 0.0000 1.2923
Ti 0.8659 1.4998 3.8770
Ti 0.0000 4.3146 0.0000
Ti 0.0000 4.3146 2.5847
Ti 3.7366 2.1573 0.0000
Ti 3.7366 2.1573 2.5847
Ti 5.7414 0.0000 3.8770
Ti 2.8707 4.9722 1.2923
Si -1.5185 2.6302 3.8770
Si -2.2180 3.8417 1.2923
Si 3.0371 0.0000 3.8770
Si 1.5185 2.6302 1.2923
Si 4.4361 0.0000 1.2923
Si 2.2180 3.8417 3.8770
C 0.0000 0.0000 0.0000
C 0.0000 0.0000 2.5847
```

Principal peaks in the range 2θ from 10° to 90°, in order of rising 2θ:
2θ 36.7, d = 2.446 Å, rel. 35; 2θ 37.5, d = 2.400 Å, rel. 19; 2θ 40.8, d = 2.211 Å, rel. 100; 2θ 41.9, d = 2.157 Å, rel. 30; 2θ 42.5, d = 2.126 Å, rel. 69; 2θ 66.4, d = 1.409 Å, rel. 21

---

# 7
Starting from the GGA-PBE geometry in the Materials Project, the powder XRD pattern of Tm5Si3C was computed for Cu Kα, 1.54184 Å.
Kinematic intensities with the Lorentz-polarization factor, no thermal factor.

Cell and atoms:
```
18
Lattice="7.2293 -4.1655 0.0000 7.2293 4.1655 0.0000 0.0000 0.0000 6.2442" Properties=species:S:1:pos:R:3 pbc="T T T"
Tm 1.6248 0.9316 4.6831
Tm 1.6248 -0.9316 1.5610
Tm 7.2293 2.3026 4.6831
Tm 4.8170 0.0000 0.0000
Tm 4.8170 0.0000 3.1221
Tm 9.6416 0.0000 0.0000
Tm 9.6416 0.0000 3.1221
Tm 7.2293 -2.3026 1.5610
Tm 12.8338 0.9316 4.6831
Tm 12.8338 -0.9316 1.5610
Si 2.9339 1.6888 1.5610
Si 11.5247 -1.6888 4.6831
Si 2.9339 -1.6888 4.6831
Si 7.2293 0.7837 1.5610
Si 11.5247 1.6887 1.5610
Si 7.2293 -0.7837 4.6831
C 0.0000 0.0000 0.0000
C 0.0000 0.0000 3.1221
```

Principal peaks in the range 2θ from 10° to 90°, in order of rising 2θ:
2θ 24.7, d = 3.611 Å, rel. 15; 2θ 25.7, d = 3.468 Å, rel. 20; 2θ 31.2, d = 2.866 Å, rel. 33; 2θ 32.8, d = 2.730 Å, rel. 31; 2θ 35.9, d = 2.500 Å, rel. 100; 2θ 52.8, d = 1.734 Å, rel. 16

---

# 8
Starting from the GGA-PBE geometry in the Materials Project, the powder XRD pattern of U3Si2C3 was computed for Cu Kα, 1.54184 Å.
Kinematic intensities with the Lorentz-polarization factor, no thermal factor.

Cell and atoms:
```
8
Lattice="-1.8409 1.8409 9.4866 1.8409 -1.8409 9.4866 1.8409 1.8409 -9.4866" Properties=species:S:1:pos:R:3 pbc="T T T"
U 0.0000 0.0000 0.0000
U 0.0000 0.0000 3.4861
U 0.0000 0.0000 15.4872
Si 0.0000 0.0000 7.6572
Si 0.0000 0.0000 11.3161
C 1.8409 0.0000 4.7433
C 0.0000 0.0000 9.4866
C 0.0000 1.8409 4.7433
```

Principal peaks in the range 2θ from 10° to 90°, in order of rising 2θ:
2θ 24.6, d = 3.614 Å, rel. 60; 2θ 28.2, d = 3.162 Å, rel. 25; 2θ 33.9, d = 2.642 Å, rel. 100; 2θ 34.4, d = 2.603 Å, rel. 57; 2θ 45.1, d = 2.010 Å, rel. 33; 2θ 61.4, d = 1.510 Å, rel. 38

---

# 9
Starting from the GGA-PBE geometry in the Materials Project, the powder XRD pattern of U3Si2C2 was computed for Cu Kα, 1.54184 Å.
Kinematic intensities with the Lorentz-polarization factor, no thermal factor.

Cell and atoms:
```
7
Lattice="-1.8288 1.8288 8.3668 1.8288 -1.8288 8.3668 1.8288 1.8288 -8.3668" Properties=species:S:1:pos:R:3 pbc="T T T"
U 0.0000 0.0000 0.0000
U 0.0000 0.0000 2.8753
U 0.0000 0.0000 13.8583
Si 0.0000 0.0000 6.9736
Si 0.0000 0.0000 9.7600
C 0.0000 0.0000 5.0901
C 0.0000 0.0000 11.6435
```

Principal peaks in the range 2θ from 10° to 90°, in order of rising 2θ:
2θ 24.9, d = 3.573 Å, rel. 100; 2θ 32.1, d = 2.789 Å, rel. 36; 2θ 34.7, d = 2.586 Å, rel. 87; 2θ 36.4, d = 2.469 Å, rel. 78; 2θ 48.0, d = 1.896 Å, rel. 48; 2θ 63.3, d = 1.470 Å, rel. 33

---

# 10
Starting from the GGA-PBE geometry in the Materials Project, the powder XRD pattern of V6SiC was computed for Cu Kα, 1.54184 Å.
Kinematic intensities with the Lorentz-polarization factor, no thermal factor.

Cell and atoms:
```
8
Lattice="4.5745 0.0000 0.0000 0.0000 4.5745 0.0000 0.0000 0.0000 4.5745" Properties=species:S:1:pos:R:3 pbc="T T T"
V 0.0000 1.1106 2.2873
V 0.0000 3.4640 2.2873
V 1.1106 2.2873 0.0000
V 2.2873 0.0000 1.1106
V 2.2873 0.0000 3.4640
V 3.4640 2.2873 0.0000
Si 2.2873 2.2873 2.2873
C 0.0000 0.0000 0.0000
```

Principal peaks in the range 2θ from 10° to 90°, in order of rising 2θ:
2θ 27.6, d = 3.235 Å, rel. 18; 2θ 39.4, d = 2.287 Å, rel. 17; 2θ 44.3, d = 2.046 Å, rel. 100; 2θ 48.8, d = 1.868 Å, rel. 35; 2θ 74.8, d = 1.269 Å, rel. 18; 2θ 78.2, d = 1.223 Å, rel. 16

---

# 11
Starting from the GGA-PBE geometry in the Materials Project, the powder XRD pattern of Y5Si3C was computed for Cu Kα, 1.54184 Å.
Kinematic intensities with the Lorentz-polarization factor, no thermal factor.

Cell and atoms:
```
18
Lattice="8.4504 0.0000 0.0000 -4.2252 7.3183 0.0000 0.0000 0.0000 6.4667" Properties=species:S:1:pos:R:3 pbc="T T T"
Y -0.9444 1.6358 1.6167
Y -3.2808 5.6825 4.8500
Y 1.8888 0.0000 1.6167
Y 0.9444 1.6358 4.8500
Y 0.0000 4.8789 0.0000
Y 0.0000 4.8789 3.2333
Y 4.2252 2.4394 0.0000
Y 4.2252 2.4394 3.2333
Y 6.5616 0.0000 4.8500
Y 3.2808 5.6825 1.6167
Si -1.7280 2.9930 4.8500
Si -2.4972 4.3253 1.6167
Si 3.4561 0.0000 4.8500
Si 1.7280 2.9930 1.6167
Si 4.9944 0.0000 1.6167
Si 2.4972 4.3253 4.8500
C 0.0000 0.0000 0.0000
C 0.0000 0.0000 3.2333
```

Principal peaks in the range 2θ from 10° to 90°, in order of rising 2θ:
2θ 30.2, d = 2.958 Å, rel. 44; 2θ 32.4, d = 2.766 Å, rel. 46; 2θ 34.9, d = 2.568 Å, rel. 73; 2θ 35.3, d = 2.543 Å, rel. 100; 2θ 51.7, d = 1.769 Å, rel. 24; 2θ 53.9, d = 1.700 Å, rel. 29

---

# 12
Starting from the GGA-PBE geometry in the Materials Project, the powder XRD pattern of Y20Si12C was computed for Cu Kα, 1.54184 Å.
Kinematic intensities with the Lorentz-polarization factor, no thermal factor.

Cell and atoms:
```
33
Lattice="6.4017 0.0000 0.0000 0.0000 14.6942 0.0000 -0.0137 0.0000 8.4596" Properties=species:S:1:pos:R:3 pbc="T T T"
Y 0.0000 2.3821 0.0000
Y -0.0069 4.8311 4.2298
Y -0.0069 9.8631 4.2298
Y 0.0000 12.3122 0.0000
Y 1.5773 5.5748 7.4314
Y 1.5819 7.3471 2.0729
Y 1.5773 9.1194 7.4314
Y 1.7438 1.7423 3.2130
Y 1.7438 12.9520 3.2130
Y 1.7553 0.0000 6.2271
Y 3.2009 2.5046 0.0000
Y 3.1940 4.9398 4.2298
Y 3.1940 9.7544 4.2298
Y 3.2009 12.1896 0.0000
Y 4.6327 0.0000 2.2325
Y 4.6442 1.7423 5.2465
Y 4.6442 12.9520 5.2465
Y 4.8107 5.5748 1.0282
Y 4.8061 7.3471 6.3866
Y 4.8107 9.1194 1.0282
Si 1.5516 7.3471 5.1049
Si 1.5784 4.4427 1.6756
Si 1.5784 10.2515 1.6756
Si 1.6357 2.9338 5.9212
Si 1.6357 11.7604 5.9212
Si 1.6837 0.0000 0.8440
Si 4.7043 0.0000 7.6156
Si 4.7523 2.9338 2.5384
Si 4.7523 11.7604 2.5384
Si 4.8095 4.4427 6.7839
Si 4.8095 10.2515 6.7839
Si 4.8364 7.3471 3.3547
C 3.1940 0.0000 4.2298
```

Principal peaks in the range 2θ from 10° to 90°, in order of rising 2θ:
2θ 25.2, d = 3.532 Å, rel. 30; 2θ 30.5, d = 2.934 Å, rel. 48; 2θ 32.3, d = 2.773 Å, rel. 53; 2θ 35.1, d = 2.554 Å, rel. 100; 2θ 35.3, d = 2.545 Å, rel. 94; 2θ 36.8, d = 2.446 Å, rel. 41